# 1
# Li2PrCu2
Computed PXRD pattern, Cu Kα (λ = 1.5418 Å). Input: DFT lattice parameters and positions (GGA-PBE).

Peak list (10 most intense, 2θ = 10–80°, by angle)
d [Å], two_theta, Rel. int.
3.076, 29.03, 20.1
2.746, 32.61, 100.0
2.625, 34.16, 51.3
2.562, 35.02, 63.9
2.268, 39.74, 47.6
2.018, 44.92, 20.6
1.966, 46.16, 19.0
1.961, 46.30, 20.5
1.600, 57.62, 22.1
1.486, 62.52, 23.9

```
Li2PrCu2
1.0
-1.9664 2.0177 12.3389
1.9664 -2.0177 12.3389
1.9664 2.0177 -12.3389
Li Pr Cu
4 2 4
Direct
0.0480 0.2980 0.7500
0.4504 0.2004 0.2500
0.5496 0.7996 0.7500
0.9520 0.7020 0.2500
0.3265 0.5765 0.7500
0.6735 0.4235 0.2500
0.1203 0.8703 0.2500
0.2220 0.9720 0.2500
0.7780 0.0280 0.7500
0.8797 0.1297 0.7500
```

***

# 2
# LiZnCuAu
Computed PXRD pattern, Cu Kα (λ = 1.5418 Å). Input: DFT lattice parameters and positions (GGA-PBE).

Peak list (10 most intense, 2θ = 10–80°, by angle)
d [Å], two_theta, Rel. int.
3.642, 24.44, 29.6
3.490, 25.53, 56.1
2.811, 31.83, 30.8
2.225, 40.54, 100.0
2.072, 43.68, 14.0
1.988, 45.64, 35.5
1.821, 50.09, 13.5
1.745, 52.44, 15.6
1.727, 53.02, 16.0
1.343, 70.07, 19.3

```
LiZnCuAu
1.0
-1.9877 1.9877 3.6425
1.9877 -1.9877 3.6425
1.9877 1.9877 -3.6425
Li Zn Cu Au
1 1 1 1
Direct
0.0000 0.0000 0.0000
0.2500 0.7500 0.5000
0.5000 0.5000 0.0000
0.7500 0.2500 0.5000
```

***

# 3
# BaNb2HgO7
Computed PXRD pattern, Cu Kα (λ = 1.5418 Å). Input: DFT lattice parameters and positions (GGA-PBE).

Peak list (10 most intense, 2θ = 10–80°, by angle)
d [Å], two_theta, Rel. int.
3.956, 22.48, 56.8
3.485, 25.56, 100.0
2.899, 30.85, 67.8
2.748, 32.58, 63.3
2.396, 37.53, 24.0
2.204, 40.95, 23.1
2.014, 45.00, 42.7
1.744, 52.47, 31.0
1.683, 54.51, 30.7
1.654, 55.56, 26.7

```
BaNb2HgO7
1.0
-2.0144 2.0144 10.4343
2.0144 -2.0144 10.4343
2.0144 2.0144 -10.4343
Ba Nb Hg O
1 2 1 7
Direct
0.0000 0.0000 0.0000
0.3952 0.3952 0.0000
0.6048 0.6048 0.0000
0.7500 0.2500 0.5000
0.0944 0.5944 0.5000
0.3029 0.3029 0.0000
0.4056 0.9056 0.5000
0.5000 0.5000 0.0000
0.5984 0.0984 0.5000
0.6971 0.6971 0.0000
0.9016 0.4016 0.5000
```

***

# 4
# Tb2Nd3Tm8
Computed PXRD pattern, Cu Kα (λ = 1.5418 Å). Input: DFT lattice parameters and positions (GGA-PBE).

Peak list (10 most intense, 2θ = 10–80°, by angle)
d [Å], two_theta, Rel. int.
3.582, 24.86, 20.6
2.997, 29.81, 32.0
2.867, 31.20, 32.6
2.791, 32.07, 42.1
2.674, 33.52, 100.0
2.506, 35.83, 11.8
2.202, 41.00, 11.1
1.588, 58.09, 20.8
1.439, 64.79, 9.9
1.388, 67.50, 12.4

```
Tb2Nd3Tm8
1.0
10.0236 -3.8351 0.0000
10.0236 3.8351 0.0000
-0.0043 0.0000 5.5820
Tb Nd Tm
2 3 8
Direct
0.2408 0.2408 0.4988
0.7592 0.7592 0.5012
0.0000 0.0000 0.5000
0.2928 0.7072 0.0000
0.7072 0.2928 0.0000
0.1346 0.1346 0.9995
0.1812 0.5991 0.4997
0.3298 0.3298 0.9991
0.4009 0.8188 0.5003
0.5991 0.1812 0.4997
0.6702 0.6702 0.0009
0.8188 0.4009 0.5003
0.8654 0.8654 0.0005
```

***

# 5
# Dy2Ni3Ge5
Computed PXRD pattern, Cu Kα (λ = 1.5418 Å). Input: DFT lattice parameters and positions (GGA-PBE).

Peak list (10 most intense, 2θ = 10–80°, by angle)
d [Å], two_theta, Rel. int.
2.579, 34.78, 16.5
2.481, 36.21, 100.0
2.460, 36.52, 74.2
2.268, 39.74, 29.6
2.246, 40.16, 22.0
2.102, 43.02, 21.8
2.064, 43.87, 37.8
1.526, 60.67, 16.9
1.473, 63.13, 13.8
1.350, 69.64, 19.7

```
Dy2Ni3Ge5
1.0
2.0635 -12.0456 0.0000
2.0635 12.0456 0.0000
0.0000 0.0000 6.7302
Dy Ni Ge
4 6 10
Direct
0.0234 0.9766 0.5000
0.3264 0.6736 0.5081
0.6736 0.3264 0.0081
0.9766 0.0234 0.0000
0.1065 0.8935 0.7714
0.2785 0.7215 0.9799
0.4465 0.5535 0.7175
0.5535 0.4465 0.2175
0.7215 0.2785 0.4799
0.8935 0.1065 0.2714
0.0953 0.9047 0.1350
0.2034 0.7966 0.6951
0.2139 0.7861 0.2842
0.3800 0.6200 0.0137
0.4504 0.5496 0.3342
0.5496 0.4504 0.8342
0.6200 0.3800 0.5137
0.7861 0.2139 0.7842
0.7966 0.2034 0.1951
0.9047 0.0953 0.6350
```

***

# 6
# Cs6Ag3F14
Computed PXRD pattern, Cu Kα (λ = 1.5418 Å). Input: DFT lattice parameters and positions (GGA-PBE).

Peak list (10 most intense, 2θ = 10–80°, by angle)
d [Å], two_theta, Rel. int.
4.055, 21.92, 54.6
3.693, 24.10, 100.0
3.379, 26.38, 29.2
3.277, 27.22, 19.9
3.003, 29.75, 17.8
2.643, 33.92, 15.6
2.352, 38.26, 27.9
2.319, 38.83, 22.8
1.963, 46.26, 15.8
1.957, 46.39, 16.1

```
Cs6Ag3F14
1.0
10.3228 0.0000 0.0000
-5.1614 8.9398 0.0000
0.0000 0.0000 6.5533
Cs Ag F
6 3 14
Direct
0.0542 0.2770 0.0000
0.2228 0.9458 0.0000
0.4560 0.4260 0.5297
0.5740 0.0300 0.5297
0.7230 0.7772 0.0000
0.9700 0.5440 0.5297
0.0000 0.0000 0.5349
0.3333 0.6667 0.1763
0.6667 0.3333 0.0743
0.0000 0.0000 0.2090
0.1461 0.6093 0.9973
0.1952 0.1546 0.7020
0.2089 0.4805 0.3598
0.2716 0.7911 0.3598
0.3907 0.5368 0.9973
0.4632 0.8539 0.9973
0.4667 0.1994 0.2437
0.5195 0.7284 0.3598
0.6667 0.3333 0.7493
0.7327 0.5333 0.2437
0.8006 0.2673 0.2437
0.8454 0.0406 0.7020
0.9594 0.8048 0.7020
```